(1)
# PdPb2O6
Theoretical powder X-ray diffraction pattern, CuKα. Input: a PBE-relaxed structure.

Unit cell a=5.049 b=5.647 c=9.067 alpha=90.00 beta=90.00 gamma=90.00
Sites, in units of the cell vectors:
Pd 0.000 0.000 0.000
Pd 0.500 0.500 0.500
Pb 0.000 0.500 0.190
Pb 0.000 0.500 0.810
Pb 0.500 0.000 0.310
Pb 0.500 0.000 0.690
O 0.198 0.307 0.000
O 0.220 0.839 0.156
O 0.220 0.839 0.844
O 0.280 0.339 0.344
O 0.280 0.339 0.656
O 0.302 0.807 0.500
O 0.698 0.193 0.500
O 0.720 0.661 0.344
O 0.720 0.661 0.656
O 0.780 0.161 0.156
O 0.780 0.161 0.844
O 0.802 0.693 0.000

Top 8 peaks for 2θ from 10° to 90°, in order of falling intensity:
| d (Å) | 2θ (°) | intensity |
| --- | --- | --- |
| 2.896 | 30.88 | 100 |
| 4.411 | 20.13 | 69 |
| 3.764 | 23.64 | 52 |
| 2.665 | 33.64 | 46 |
| 1.833 | 49.75 | 44 |
| 2.823 | 31.69 | 31 |
| 1.882 | 48.36 | 28 |
| 2.378 | 37.83 | 22 |


(2)
# PdPbO
Theoretical powder X-ray diffraction pattern, CuKα. Input: a PBE-relaxed structure.

Unit cell a=3.541 b=7.568 c=8.742 alpha=90.00 beta=90.00 gamma=90.00
Sites, in units of the cell vectors:
Pd 0.248 0.203 0.127
Pd 0.252 0.797 0.627
Pd 0.748 0.297 0.873
Pd 0.752 0.703 0.373
Pb 0.248 0.543 0.006
Pb 0.252 0.457 0.506
Pb 0.748 0.957 0.994
Pb 0.752 0.043 0.494
O 0.249 0.811 0.878
O 0.251 0.189 0.378
O 0.749 0.689 0.122
O 0.751 0.311 0.622

Top 8 peaks for 2θ from 10° to 90°, in order of falling intensity:
| d (Å) | 2θ (°) | intensity |
| --- | --- | --- |
| 2.586 | 34.69 | 100 |
| 4.371 | 20.32 | 96 |
| 3.207 | 27.82 | 56 |
| 2.861 | 31.27 | 53 |
| 1.806 | 50.54 | 48 |
| 1.892 | 48.08 | 44 |
| 2.479 | 36.23 | 44 |
| 2.424 | 37.09 | 39 |


(3)
# PdPbSe2O6
Theoretical powder X-ray diffraction pattern, CuKα. Input: a PBE-relaxed structure.

Unit cell a=6.613 b=6.613 c=6.613 alpha=49.90 beta=49.90 gamma=49.90
Sites, in units of the cell vectors:
Pd 0.000 0.000 0.000
Pb 0.500 0.500 0.500
Se 0.222 0.222 0.222
Se 0.778 0.778 0.778
O 0.019 0.439 0.761
O 0.239 0.981 0.561
O 0.439 0.761 0.019
O 0.561 0.239 0.981
O 0.761 0.019 0.439
O 0.981 0.561 0.239

Top 8 peaks for 2θ from 10° to 90°, in order of falling intensity:
| d (Å) | 2θ (°) | intensity |
| --- | --- | --- |
| 3.226 | 27.66 | 100 |
| 2.790 | 32.08 | 60 |
| 1.683 | 54.53 | 27 |
| 1.611 | 57.17 | 25 |
| 2.110 | 42.86 | 25 |
| 2.512 | 35.74 | 20 |
| 2.007 | 45.19 | 19 |
| 4.220 | 21.05 | 19 |


(4)
# SrPdPbO4
Theoretical powder X-ray diffraction pattern, CuKα. Input: a PBE-relaxed structure.

Unit cell a=7.213 b=7.213 c=7.213 alpha=127.93 beta=125.85 gamma=78.44
Sites, in units of the cell vectors:
Sr 0.413 0.163 0.250
Sr 0.587 0.837 0.750
Pd 0.000 0.000 0.500
Pd 0.000 0.500 0.000
Pb 0.000 0.500 0.500
Pb 0.500 0.500 0.000
O 0.154 0.706 0.448
O 0.241 0.294 0.948
O 0.276 0.303 0.527
O 0.276 0.749 0.973
O 0.724 0.251 0.027
O 0.724 0.697 0.473
O 0.759 0.706 0.052
O 0.846 0.294 0.552

Top 8 peaks for 2θ from 10° to 90°, in order of falling intensity:
| d (Å) | 2θ (°) | intensity |
| --- | --- | --- |
| 5.509 | 16.09 | 100 |
| 2.820 | 31.73 | 84 |
| 3.211 | 27.79 | 69 |
| 2.831 | 31.61 | 60 |
| 1.766 | 51.77 | 53 |
| 2.763 | 32.40 | 36 |
| 2.794 | 32.03 | 30 |
| 2.279 | 39.55 | 29 |